# 1
Starting from DFT lattice parameters and positions (PBE), the powder X-ray diffraction pattern of Li2ZrScAl2Pd2 was calculated for Cu Kα X-rays.
Neutral-atom scattering factors, no anomalous dispersion.

Top 10 peaks for 10 to 80 degrees two-theta, by intensity:
d/Å  2theta  Rel. int.
2.248  40.11  100
3.671  24.24  73
1.917  47.42  35
1.298  72.87  32
1.590  58.02  16
1.459  63.80  14
1.224  78.10  10
6.360  13.93  3
4.496  19.75  3
2.844  31.46  2

Structure:
abc: 4.4960 4.4960 6.3596
angles: 90.00 90.00 90.00
Space group P-4m2 (No. 115)
Unique sites:
Li 0.0000 0.5000 0.2456
Zr 0.0000 0.0000 0.5000
Sc 0.5000 0.5000 0.0000
Al 0.0000 0.0000 0.0000
Al 0.5000 0.5000 0.5000
Pd 0.0000 0.5000 0.7476


# 2
Starting from DFT lattice parameters and positions (PBE), the powder X-ray diffraction pattern of Tb4ErBi5 was calculated for Cu Kα X-rays.
Neutral-atom scattering factors, no anomalous dispersion.

Top 10 peaks for 10 to 80 degrees two-theta, by intensity:
d/Å  2theta  Rel. int.
3.161  28.24  100
2.235  40.36  78
1.413  66.10  37
1.825  49.98  28
1.290  73.38  28
1.580  58.40  13
3.650  24.39  3
1.906  47.72  2
1.450  64.23  1
1.217  78.65  1

Structure:
abc: 4.4700 4.4700 31.6030
angles: 90.00 90.00 90.00
Space group I4/mmm (No. 139)
Unique sites:
Tb 0.0000 0.0000 0.0999
Tb 0.0000 0.0000 0.3003
Er 0.0000 0.0000 0.5000
Bi 0.0000 0.0000 0.0000
Bi 0.0000 0.0000 0.2000
Bi 0.0000 0.0000 0.4007


# 3
Starting from DFT lattice parameters and positions (PBE), the powder X-ray diffraction pattern of Zn2BO3F was calculated for Cu Kα X-rays.
Neutral-atom scattering factors, no anomalous dispersion.

Top 10 peaks for 10 to 80 degrees two-theta, by intensity:
d/Å  2theta  Rel. int.
4.346  20.44  100
4.214  21.08  63
2.571  34.90  57
2.213  40.78  33
2.195  41.13  20
2.630  34.09  18
2.173  41.56  16
1.669  55.02  15
1.484  62.58  15
1.718  53.32  14

Structure:
abc: 8.9057 5.1414 9.1922
angles: 90.00 108.99 90.00
Space group C2/c (No. 15)
Unique sites:
Zn 0.1770 0.2495 0.2808
B 0.0000 0.2506 0.7500
O 0.0000 0.0162 0.2500
O 0.1332 0.3840 0.7494
F 0.2500 0.2500 0.5000


# 4
Starting from DFT lattice parameters and positions (PBE), the powder X-ray diffraction pattern of Na2Mg2Hg3 was calculated for Cu Kα X-rays.
Neutral-atom scattering factors, no anomalous dispersion.

Top 10 peaks for 10 to 80 degrees two-theta, by intensity:
d/Å  2theta  Rel. int.
3.528  25.25  100
2.503  35.88  82
2.486  36.13  80
8.094  10.93  32
1.442  64.65  29
1.764  51.83  29
4.267  20.82  26
2.041  44.38  23
4.082  21.77  23
1.582  58.34  21

Structure:
abc: 5.0051 5.0051 24.2834
angles: 90.00 90.00 120.00
Space group R3m (No. 160, hexagonal axes)
Unique sites:
Na 0.0000 0.0000 0.0000
Na 0.0000 0.0000 0.4907
Mg 0.0000 0.0000 0.2446
Mg 0.0000 0.0000 0.7442
Hg 0.0000 0.0000 0.3694
Hg 0.0000 0.0000 0.6173
Hg 0.0000 0.0000 0.8682


# 5
Starting from DFT lattice parameters and positions (PBE), the powder X-ray diffraction pattern of RbU2F9 was calculated for Cu Kα X-rays.
Neutral-atom scattering factors, no anomalous dispersion.

Top 10 peaks for 10 to 80 degrees two-theta, by intensity:
d/Å  2theta  Rel. int.
5.702  15.54  100
3.222  27.68  75
3.334  26.74  69
3.671  24.25  55
2.805  31.90  54
3.087  28.93  53
1.916  47.46  49
3.446  25.86  48
3.108  28.73  48
3.926  22.65  38

Structure:
abc: 8.6489 11.4033 6.9445
angles: 90.00 90.00 90.00
Space group Pnma (No. 62)
Unique sites:
Rb 0.0316 0.2500 0.1320
U 0.1752 0.0506 0.6497
F 0.0074 0.6020 0.5701
F 0.0637 0.5778 0.1902
F 0.1747 0.2500 0.6630
F 0.2136 0.0964 0.9672
F 0.2210 0.6090 0.8487


# 6
Starting from DFT lattice parameters and positions (PBE), the powder X-ray diffraction pattern of GdYSb2 was calculated for Cu Kα X-rays.
Neutral-atom scattering factors, no anomalous dispersion.

Top 10 peaks for 10 to 80 degrees two-theta, by intensity:
d/Å  2theta  Rel. int.
3.115  28.66  100
2.203  40.98  76
1.393  67.20  34
1.798  50.77  27
1.272  74.64  25
1.557  59.34  13
6.230  14.22  3
4.405  20.16  3
2.786  32.13  2
2.543  35.29  1

Structure:
abc: 4.4050 4.4050 6.2300
angles: 90.00 90.00 90.00
Space group P4/mmm (No. 123)
Unique sites:
Gd 0.0000 0.0000 0.0000
Y 0.5000 0.5000 0.5000
Sb 0.0000 0.0000 0.5000
Sb 0.5000 0.5000 0.0000


# 7
Starting from DFT lattice parameters and positions (PBE), the powder X-ray diffraction pattern of In10FeTe10 was calculated for Cu Kα X-rays.
Neutral-atom scattering factors, no anomalous dispersion.

Top 10 peaks for 10 to 80 degrees two-theta, by intensity:
d/Å  2theta  Rel. int.
3.409  26.14  100
3.035  29.43  33
3.116  28.65  32
4.016  22.13  31
2.162  41.79  28
3.097  28.83  27
2.106  42.94  27
2.468  36.40  23
2.182  41.38  21
2.077  43.58  18

Structure:
abc: 12.8365 13.0125 8.4244
angles: 90.00 90.00 90.00
Space group Pbam (No. 55)
Unique sites:
In 0.0000 0.0000 0.2090
In 0.1075 0.4225 0.2392
In 0.1424 0.7308 0.5000
In 0.1431 0.6408 0.0000
Fe 0.0000 0.5000 0.0000
Te 0.0760 0.2712 0.5000
Te 0.1232 0.1402 0.0000
Te 0.1721 0.8328 0.2106
Te 0.2237 0.5343 0.5000


# 8
Starting from DFT lattice parameters and positions (PBE), the powder X-ray diffraction pattern of CuAg was calculated for Cu Kα X-rays.
Neutral-atom scattering factors, no anomalous dispersion.

Top 10 peaks for 10 to 80 degrees two-theta, by intensity:
d/Å  2theta  Rel. int.
2.260  39.88  100
2.254  39.99  97
1.979  45.85  32
1.936  46.93  31
1.950  46.57  31
1.384  67.70  20
1.374  68.26  18
1.392  67.27  10
1.386  67.57  9
2.968  30.11  5

Structure:
abc: 14.1821 3.8723 5.5682
angles: 90.00 102.16 90.00
Space group Cm (No. 8)
Unique sites:
Cu 0.0000 0.0000 0.0000
Cu 0.0049 0.0000 0.5028
Cu 0.1001 0.5000 0.7889
Cu 0.1932 0.0000 0.5978
Cu 0.4052 0.0000 0.1986
Ag 0.0946 0.5000 0.3013
Ag 0.1945 0.0000 0.0863
Ag 0.3011 0.5000 0.8933
Ag 0.3040 0.5000 0.3961
Ag 0.4107 0.0000 0.7023


# 9
Starting from DFT lattice parameters and positions (PBE), the powder X-ray diffraction pattern of Gd2FeCoSi2 was calculated for Cu Kα X-rays.
Neutral-atom scattering factors, no anomalous dispersion.

Top 10 peaks for 10 to 80 degrees two-theta, by intensity:
d/Å  2theta  Rel. int.
3.426  26.01  100
2.157  41.88  70
2.565  34.98  69
1.992  45.53  50
2.598  34.53  47
2.818  31.76  35
1.574  58.67  31
1.722  53.18  29
1.545  59.86  25
1.221  78.30  23

Structure:
abc: 3.9849 3.9849 6.7053
angles: 90.00 90.00 90.00
Space group P-4m2 (No. 115)
Unique sites:
Gd 0.0000 0.5000 0.1821
Fe 0.0000 0.0000 0.5000
Co 0.5000 0.5000 0.5000
Si 0.0000 0.5000 0.6797